Diffraction record for LiVSiO4. The powder diffractogram is calculated, not measured: it uses a structure optimized by DFT (PBE+U) and copper Kα.
Intensities are scaled so that the largest is 100.

Most intense lines, 2θ = 10–80°, most intense first:
d [Å], Rel. int., index
5.011, 100, 0 1 1
3.504, 61, 1 1 -2
2.557, 56, 1 1 2
2.795, 50, 0 1 3
2.303, 41, 1 2 1
3.696, 30, 1 1 0
1.701, 29, 1 2 -5
1.669, 27, 2 0 -6
2.582, 25, 2 0 -2
4.756, 20, 0 0 2

Crystal structure
```
LiVSiO4
1.0
5.190 0.000 0.000
0.000 5.892 0.000
-4.223 0.000 9.524
Li V Si O
4 4 4 16
direct
0.084 0.133 0.435
0.084 0.367 0.935
0.916 0.633 0.065
0.916 0.867 0.565
0.459 0.616 0.652
0.459 0.884 0.152
0.541 0.116 0.848
0.541 0.384 0.348
0.103 0.650 0.362
0.103 0.850 0.862
0.897 0.150 0.138
0.897 0.350 0.638
0.211 0.665 0.989
0.211 0.835 0.489
0.244 0.136 0.220
0.244 0.364 0.720
0.247 0.659 0.247
0.247 0.841 0.747
0.253 0.083 0.950
0.253 0.417 0.450
0.747 0.583 0.550
0.747 0.917 0.050
0.753 0.159 0.253
0.753 0.341 0.753
0.756 0.636 0.280
0.756 0.864 0.780
0.789 0.165 0.511
0.789 0.335 0.011
```